[1]
Starting from a DFT-relaxed cell (PBE, the Materials Project), the X-ray diffraction stick pattern of Ti3Hg was computed for CuKα.

Top 8 peaks for 2θ = 10–80°, low angle first:
Position (°2θ)  I/Imax
21.46  59
30.54  52
37.63  100
43.73  49
49.21  29
54.28  22
63.56  31
76.28  36

Structural model:
a = 4.140 Å, b = 4.140 Å, c = 4.140 Å
α = 90.00°, β = 90.00°, γ = 90.00°
Fractional positions:
Ti 0.000 0.000 0.500
Ti 0.000 0.500 0.000
Ti 0.500 0.000 0.000
Hg 0.500 0.500 0.500

[2]
Starting from a DFT-relaxed cell (PBE, the Materials Project), the X-ray diffraction stick pattern of TiHg was computed for CuKα.

Top 8 peaks for 2θ = 10–80°, low angle first:
Position (°2θ)  I/Imax
21.66  34
29.33  34
36.76  100
41.96  35
44.15  15
47.70  19
62.54  21
73.24  27

Structural model:
a = 3.045 Å, b = 3.045 Å, c = 4.102 Å
α = 90.00°, β = 90.00°, γ = 90.00°
Fractional positions:
Ti 0.000 0.000 0.000
Hg 0.500 0.500 0.500

[3]
Starting from a DFT-relaxed cell (PBE, the Materials Project), the X-ray diffraction stick pattern of Ti3Hg was computed for CuKα.

Top 8 peaks for 2θ = 10–80°, low angle first:
Position (°2θ)  I/Imax
24.21  80
34.51  45
38.74  19
42.60  100
49.60  13
55.94  18
67.41  51
77.99  11

Structural model:
a = 5.198 Å, b = 5.198 Å, c = 5.198 Å
α = 90.00°, β = 90.00°, γ = 90.00°
Fractional positions:
Ti 0.000 0.250 0.500
Ti 0.000 0.750 0.500
Ti 0.250 0.500 0.000
Ti 0.500 0.000 0.250
Ti 0.500 0.000 0.750
Ti 0.750 0.500 0.000
Hg 0.000 0.000 0.000
Hg 0.500 0.500 0.500

[4]
Starting from a DFT-relaxed cell (PBE, the Materials Project), the X-ray diffraction stick pattern of TiZnHg2 was computed for CuKα.

Top 8 peaks for 2θ = 10–80°, low angle first:
Position (°2θ)  I/Imax
22.95  24
28.56  28
36.95  100
40.84  38
46.89  13
47.36  15
63.90  20
71.80  29

Structural model:
a = 4.420 Å, b = 4.420 Å, c = 3.875 Å
α = 90.00°, β = 90.00°, γ = 90.00°
Fractional positions:
Ti 0.000 0.000 0.000
Zn 0.500 0.500 0.000
Hg 0.000 0.500 0.500
Hg 0.500 0.000 0.500

[5]
Starting from a DFT-relaxed cell (PBE, the Materials Project), the X-ray diffraction stick pattern of TlHg was computed for CuKα.

Top 5 peaks for 2θ = 10–80°, low angle first:
Position (°2θ)  I/Imax
32.51  100
46.64  19
58.00  39
68.09  12
77.50  17

Structural model:
a = 3.895 Å, b = 3.895 Å, c = 3.895 Å
α = 90.00°, β = 90.00°, γ = 90.00°
Fractional positions:
Tl 0.000 0.000 0.000
Hg 0.500 0.500 0.500

[6]
Starting from a DFT-relaxed cell (PBE, the Materials Project), the X-ray diffraction stick pattern of TlHg was computed for CuKα.

Top 8 peaks for 2θ = 10–80°, low angle first:
Position (°2θ)  I/Imax
30.90  35
31.63  100
36.48  69
52.06  25
53.02  24
61.78  15
62.64  29
63.07  14

Structural model:
a = 6.121 Å, b = 6.121 Å, c = 6.121 Å
α = 32.78°, β = 32.78°, γ = 32.78°
Fractional positions:
Tl 0.000 0.000 0.000
Hg 0.500 0.500 0.500

[7]
Starting from a DFT-relaxed cell (PBE, the Materials Project), the X-ray diffraction stick pattern of Tm2TlHg was computed for CuKα.

Top 5 peaks for 2θ = 10–80°, low angle first:
Position (°2θ)  I/Imax
23.92  1
34.08  100
48.97  18
61.01  38
71.76  12

Structural model:
a = 5.261 Å, b = 5.261 Å, c = 5.261 Å
α = 60.00°, β = 60.00°, γ = 60.00°
Fractional positions:
Tm 0.250 0.250 0.250
Tm 0.750 0.750 0.750
Tl 0.000 0.000 0.000
Hg 0.500 0.500 0.500

[8]
Starting from a DFT-relaxed cell (PBE, the Materials Project), the X-ray diffraction stick pattern of Y2TlHg was computed for CuKα.

Top 8 peaks for 2θ = 10–80°, low angle first:
Position (°2θ)  I/Imax
23.61  16
33.63  100
41.50  5
48.30  18
54.44  8
60.14  38
70.70  12
75.71  4

Structural model:
a = 5.330 Å, b = 5.330 Å, c = 5.330 Å
α = 60.00°, β = 60.00°, γ = 60.00°
Fractional positions:
Y 0.250 0.250 0.250
Y 0.750 0.750 0.750
Tl 0.000 0.000 0.000
Hg 0.500 0.500 0.500

[9]
Starting from a DFT-relaxed cell (PBE, the Materials Project), the X-ray diffraction stick pattern of TmHg was computed for CuKα.

Top 5 peaks for 2θ = 10–80°, low angle first:
Position (°2θ)  I/Imax
24.17  1
34.44  100
49.51  18
61.70  38
72.62  12

Structural model:
a = 3.682 Å, b = 3.682 Å, c = 3.682 Å
α = 90.00°, β = 90.00°, γ = 90.00°
Fractional positions:
Tm 0.000 0.000 0.000
Hg 0.500 0.500 0.500

[10]
Starting from a DFT-relaxed cell (PBE, the Materials Project), the X-ray diffraction stick pattern of Tm3Hg was computed for CuKα.

Top 7 peaks for 2θ = 10–80°, low angle first:
Position (°2θ)  I/Imax
18.71  1
26.58  1
32.70  100
37.94  50
54.74  35
65.24  42
68.53  12

Structural model:
a = 4.743 Å, b = 4.743 Å, c = 4.743 Å
α = 90.00°, β = 90.00°, γ = 90.00°
Fractional positions:
Tm 0.000 0.000 0.500
Tm 0.000 0.500 0.000
Tm 0.500 0.000 0.000
Hg 0.500 0.500 0.500

[11]
Starting from a DFT-relaxed cell (PBE, the Materials Project), the X-ray diffraction stick pattern of Tm2ZnHg was computed for CuKα.

Top 8 peaks for 2θ = 10–80°, low angle first:
Position (°2θ)  I/Imax
21.31  10
35.15  100
41.48  6
50.56  18
55.47  3
63.07  37
74.31  11
78.34  2

Structural model:
a = 5.106 Å, b = 5.106 Å, c = 5.106 Å
α = 60.00°, β = 60.00°, γ = 60.00°
Fractional positions:
Tm 0.250 0.250 0.250
Tm 0.750 0.750 0.750
Zn 0.000 0.000 0.000
Hg 0.500 0.500 0.500

[12]
Starting from a DFT-relaxed cell (PBE, the Materials Project), the X-ray diffraction stick pattern of UHg2 was computed for CuKα.

Top 8 peaks for 2θ = 10–80°, low angle first:
Position (°2θ)  I/Imax
34.61  100
35.73  85
46.07  7
50.59  32
62.02  19
62.75  35
72.17  25
73.00  12

Structural model:
a = 5.184 Å, b = 5.184 Å, c = 3.033 Å
α = 90.00°, β = 90.00°, γ = 120.00°
Fractional positions:
U 0.000 0.000 0.000
Hg 0.333 0.667 0.500
Hg 0.667 0.333 0.500

[13]
Starting from a DFT-relaxed cell (PBE, the Materials Project), the X-ray diffraction stick pattern of YHg2 was computed for CuKα.

Top 8 peaks for 2θ = 10–80°, low angle first:
Position (°2θ)  I/Imax
20.66  19
25.76  31
33.25  88
36.20  100
44.96  44
49.96  28
63.24  28
65.82  35

Structural model:
a = 4.963 Å, b = 4.963 Å, c = 3.459 Å
α = 90.00°, β = 90.00°, γ = 120.00°
Fractional positions:
Y 0.000 0.000 0.000
Hg 0.333 0.667 0.500
Hg 0.667 0.333 0.500

[14]
Starting from a DFT-relaxed cell (PBE, the Materials Project), the X-ray diffraction stick pattern of YHg was computed for CuKα.

Top 8 peaks for 2θ = 10–80°, low angle first:
Position (°2θ)  I/Imax
23.84  16
33.97  100
41.92  6
48.80  18
55.01  8
60.78  37
71.49  12
76.57  4

Structural model:
a = 3.733 Å, b = 3.733 Å, c = 3.733 Å
α = 90.00°, β = 90.00°, γ = 90.00°
Fractional positions:
Y 0.000 0.000 0.000
Hg 0.500 0.500 0.500

[15]
Starting from a DFT-relaxed cell (PBE, the Materials Project), the X-ray diffraction stick pattern of YHg3 was computed for CuKα.

Top 8 peaks for 2θ = 10–80°, low angle first:
Position (°2θ)  I/Imax
31.02  24
35.65  23
35.89  100
47.97  15
55.18  20
64.20  19
67.45  22
67.60  16

Structural model:
a = 6.658 Å, b = 6.658 Å, c = 5.037 Å
α = 90.00°, β = 90.00°, γ = 120.00°
Fractional positions:
Y 0.333 0.667 0.250
Y 0.667 0.333 0.750
Hg 0.166 0.332 0.750
Hg 0.166 0.834 0.750
Hg 0.332 0.166 0.250
Hg 0.668 0.834 0.750
Hg 0.834 0.166 0.250
Hg 0.834 0.668 0.250

[16]
Starting from a DFT-relaxed cell (PBE, the Materials Project), the X-ray diffraction stick pattern of Zn3Hg was computed for CuKα.

Top 8 peaks for 2θ = 10–80°, low angle first:
Position (°2θ)  I/Imax
16.92  38
25.50  36
34.22  41
36.14  38
40.16  100
40.28  59
50.62  28
65.32  24

Structural model:
a = 10.480 Å, b = 2.863 Å, c = 2.863 Å
α = 60.24°, β = 90.00°, γ = 90.00°
Fractional positions:
Zn 0.000 0.000 0.000
Zn 0.210 0.678 0.678
Zn 0.790 0.678 0.678
Hg 0.500 0.986 0.986

[17]
Starting from a DFT-relaxed cell (PBE, the Materials Project), the X-ray diffraction stick pattern of Zn3Hg was computed for CuKα.

Top 8 peaks for 2θ = 10–80°, low angle first:
Position (°2θ)  I/Imax
26.08  34
35.26  24
39.10  25
40.48  100
53.65  14
63.27  20
71.77  18
76.95  19

Structural model:
a = 5.879 Å, b = 5.879 Å, c = 4.608 Å
α = 90.00°, β = 90.00°, γ = 120.00°
Fractional positions:
Zn 0.158 0.317 0.250
Zn 0.158 0.842 0.250
Zn 0.317 0.158 0.750
Zn 0.683 0.842 0.250
Zn 0.842 0.158 0.750
Zn 0.842 0.683 0.750
Hg 0.333 0.667 0.750
Hg 0.667 0.333 0.250